No. 1
# PmNdHg2
Calculated powder XRD pattern, Cu Ka. Input: a cell relaxed with GGA-PBE.

Largest 10 diffraction maxima, low angle first, 2θ = 10–90°:
| h k l | 2θ/deg | I/Imax |
| --- | --- | --- |
| 2 0 0 | 23.2 | 3 |
| 2 2 0 | 33.1 | 100 |
| 2 2 2 | 40.9 | 1 |
| 4 0 0 | 47.5 | 18 |
| 4 2 0 | 53.6 | 1 |
| 4 2 2 | 59.1 | 39 |
| 4 4 0 | 69.5 | 12 |
| 6 0 0 | 74.4 | 1 |
| 6 2 0 | 79.2 | 17 |
| 4 4 4 | 88.5 | 4 |

Structure:
abc: 7.6523 7.6523 7.6523
angles: 90.00 90.00 90.00
Space group Fm-3m (No. 225)
Unique sites:
Pm: 0.0000 0.0000 0.0000
Nd: 0.0000 0.0000 0.5000
Hg: 0.2500 0.2500 0.2500

No. 2
# Rb2BH5
Calculated powder XRD pattern, Cu Ka. Input: a cell relaxed with GGA-PBE.

Largest 10 diffraction maxima, low angle first, 2θ = 10–90°:
| h k l | 2θ/deg | I/Imax |
| --- | --- | --- |
| 0 2 0 | 22.0 | 46 |
| 1 0 1 | 22.3 | 98 |
| 0 0 2 | 27.2 | 38 |
| 1 2 1 | 31.5 | 100 |
| 0 2 2 | 35.2 | 32 |
| 2 0 0 | 35.7 | 19 |
| 2 2 0 | 42.3 | 18 |
| 2 0 2 | 45.5 | 18 |
| 1 2 3 | 50.9 | 22 |
| 2 2 2 | 51.1 | 21 |

Structure:
abc: 5.0277 8.0979 6.5501
angles: 90.00 90.00 90.00
Space group Imm2 (No. 44)
Unique sites:
Rb: 0.0000 0.2291 0.0000
B: 0.0000 0.0000 0.4248
H: 0.0000 0.1236 0.5326
H: 0.0000 0.5000 0.3665
H: 0.1996 0.0000 0.3149

No. 3
# BaBe4
Calculated powder XRD pattern, Cu Ka. Input: a cell relaxed with GGA-PBE.

Largest 10 diffraction maxima, low angle first, 2θ = 10–90°:
| h k l | 2θ/deg | I/Imax |
| --- | --- | --- |
| 0 0 2 | 15.7 | 43 |
| 1 0 1 | 23.7 | 100 |
| 0 0 4 | 31.8 | 41 |
| 1 0 3 | 32.7 | 55 |
| 1 1 2 | 35.6 | 39 |
| 2 0 0 | 45.5 | 29 |
| 1 0 5 | 46.2 | 15 |
| 0 0 6 | 48.5 | 14 |
| 2 1 1 | 52.0 | 24 |
| 2 1 3 | 57.2 | 22 |

Structure:
abc: 3.9825 3.9825 11.2847
angles: 90.00 90.00 90.00
Space group I4/mmm (No. 139)
Unique sites:
Ba: 0.0000 0.0000 0.0000
Be: 0.0000 0.0000 0.3030
Be: 0.0000 0.5000 0.2500

No. 4
# TbNd4Ho5
Calculated powder XRD pattern, Cu Ka. Input: a cell relaxed with GGA-PBE.

Largest 10 diffraction maxima, low angle first, 2θ = 10–90°:
| h k l | 2θ/deg | I/Imax |
| --- | --- | --- |
| 1 0 5 | 30.5 | 100 |
| 1 1 0 | 35.3 | 34 |
| 0 0 10 | 35.6 | 17 |
| 2 0 0 | 50.7 | 12 |
| 1 1 10 | 51.0 | 24 |
| 2 1 5 | 60.3 | 29 |
| 1 0 15 | 60.8 | 14 |
| 2 0 10 | 63.5 | 12 |
| 3 0 5 | 82.6 | 6 |
| 2 1 15 | 83.0 | 12 |

Structure:
abc: 3.6006 3.6006 25.2232
angles: 90.00 90.00 90.00
Space group P4/mmm (No. 123)
Unique sites:
Tb: 0.0000 0.0000 0.0000
Nd: 0.0000 0.0000 0.1987
Nd: 0.0000 0.0000 0.3996
Ho: 0.5000 0.5000 0.0977
Ho: 0.5000 0.5000 0.2990
Ho: 0.5000 0.5000 0.5000

No. 5
# Ga4B2O9
Calculated powder XRD pattern, Cu Ka. Input: a cell relaxed with GGA-PBE.

Largest 10 diffraction maxima, low angle first, 2θ = 10–90°:
| h k l | 2θ/deg | I/Imax |
| --- | --- | --- |
| 2 0 0 | 16.0 | 77 |
| 2 0 -2 | 16.1 | 100 |
| 1 1 0 | 17.3 | 95 |
| 4 0 0 | 32.4 | 31 |
| 4 0 -4 | 32.6 | 44 |
| 2 2 0 | 35.0 | 60 |
| 6 0 -2 | 36.9 | 21 |
| 0 2 2 | 38.5 | 39 |
| 4 2 -2 | 38.9 | 26 |
| 6 2 0 | 59.4 | 22 |

Structure:
abc: 15.3491 5.7966 10.9863
angles: 90.00 133.92 90.00
Space group Cm (No. 8)
Unique sites:
Ga: 0.0000 0.0000 0.0000
Ga: 0.0110 0.0000 0.5547
Ga: 0.1454 0.0000 0.4553
Ga: 0.2404 0.2490 0.3222
Ga: 0.2436 0.2476 0.8305
Ga: 0.3174 0.5000 0.1634
B: 0.2045 0.0000 0.0432
B: 0.2247 0.5000 0.5586
B: 0.4890 0.0000 0.5968
B: 0.4901 0.0000 0.0348
O: 0.0551 0.2958 0.6592
O: 0.0742 0.0000 0.9265
O: 0.1119 0.5000 0.1719
O: 0.1258 0.0000 0.2450
O: 0.1907 0.0000 0.6722
O: 0.2142 0.2936 0.4843
O: 0.2465 0.0000 0.9551
O: 0.2466 0.5000 0.7031
O: 0.2581 0.2121 0.1620
O: 0.2854 0.5000 0.9690
O: 0.3464 0.5000 0.4243
O: 0.3641 0.0000 0.4777
O: 0.4252 0.2075 0.9625
O: 0.4861 0.5000 0.3564

No. 6
# Sm6GaRu2Cl3
Calculated powder XRD pattern, Cu Ka. Input: a cell relaxed with GGA-PBE.

Largest 10 diffraction maxima, low angle first, 2θ = 10–90°:
| h k l | 2θ/deg | I/Imax |
| --- | --- | --- |
| 0 0 1 | 11.8 | 44 |
| 1 3 -1 | 26.4 | 31 |
| 1 3 1 | 29.8 | 100 |
| 2 0 -2 | 29.9 | 50 |
| 1 3 2 | 37.9 | 25 |
| 1 3 -3 | 41.1 | 49 |
| 0 6 0 | 44.3 | 17 |
| 3 3 -1 | 44.4 | 34 |
| 2 0 3 | 51.8 | 17 |
| 2 6 -2 | 54.3 | 17 |

Structure:
abc: 7.0591 12.2814 7.8280
angles: 90.00 107.41 90.00
Space group C2/m (No. 12)
Unique sites:
Sm: 0.2134 0.0000 0.2116
Sm: 0.2464 0.3212 0.2090
Ga: 0.0000 0.5000 0.0000
Ru: 0.0000 0.1655 0.0000
Cl: 0.0000 0.0000 0.5000
Cl: 0.0000 0.3299 0.5000

No. 7
# ErCd11
Calculated powder XRD pattern, Cu Ka. Input: a cell relaxed with GGA-PBE.

Largest 10 diffraction maxima, low angle first, 2θ = 10–90°:
| h k l | 2θ/deg | I/Imax |
| --- | --- | --- |
| 3 2 1 | 29.3 | 32 |
| 3 1 2 | 33.2 | 100 |
| 4 2 0 | 33.5 | 58 |
| 1 0 3 | 35.8 | 27 |
| 2 1 3 | 38.9 | 22 |
| 5 0 1 | 39.4 | 72 |
| 4 2 2 | 41.1 | 26 |
| 2 2 4 | 52.2 | 11 |
| 5 5 2 | 59.6 | 30 |
| 8 4 0 | 70.3 | 15 |

Structure:
abc: 11.9741 11.9741 7.7024
angles: 90.00 90.00 90.00
Space group I4_1/amd (No. 141, origin choice 2)
Unique sites:
Er: 0.0000 0.2500 0.3750
Cd: 0.0000 0.0000 0.0000
Cd: 0.0000 0.2500 0.8750
Cd: 0.1201 0.0514 0.6673

No. 8
# Pb4Cl6O
Calculated powder XRD pattern, Cu Ka. Input: a cell relaxed with GGA-PBE.

Largest 10 diffraction maxima, low angle first, 2θ = 10–90°:
| h k l | 2θ/deg | I/Imax |
| --- | --- | --- |
| 1 0 0 | 10.5 | 22 |
| 2 0 0 | 21.1 | 23 |
| 0 0 2 | 24.4 | 100 |
| 2 1 1 | 30.7 | 20 |
| 2 0 2 | 32.5 | 29 |
| 3 0 1 | 34.2 | 28 |
| 2 2 0 | 37.0 | 25 |
| 2 1 2 | 37.5 | 16 |
| 2 0 3 | 43.0 | 22 |
| 2 2 2 | 44.8 | 23 |

Structure:
abc: 9.7226 9.7226 7.2932
angles: 90.00 90.00 120.00
Space group P6_3mc (No. 186)
Unique sites:
Pb: 0.1990 0.3980 0.0000
Pb: 0.3333 0.6667 0.5656
Cl: 0.0692 0.5346 0.2823
Cl: 0.1494 0.2987 0.6129
O: 0.3333 0.6667 0.9006

No. 9
# Dy4HoErTm2
Calculated powder XRD pattern, Cu Ka. Input: a cell relaxed with GGA-PBE.

Largest 9 diffraction maxima, low angle first, 2θ = 10–90°:
| h k l | 2θ/deg | I/Imax |
| --- | --- | --- |
| 1 1 2 | 31.2 | 100 |
| 2 0 0 | 36.2 | 51 |
| 2 2 0 | 52.1 | 36 |
| 3 1 2 | 62.0 | 43 |
| 2 2 4 | 65.0 | 12 |
| 4 0 0 | 76.7 | 6 |
| 3 3 2 | 85.1 | 18 |
| 4 2 0 | 87.9 | 10 |
| 4 0 4 | 87.9 | 7 |

Structure:
abc: 4.9676 4.9649 9.9396
angles: 90.00 90.05 90.00
Space group P2/m (No. 10)
Unique sites:
Dy: 0.9996 0.0000 0.2501
Dy: 0.4996 0.5000 0.2504
Ho: 0.0000 0.5000 0.0000
Er: 0.5000 0.0000 0.5000
Tm: 0.0000 0.5000 0.5000
Tm: 0.5000 0.0000 0.0000

No. 10
# LiGaHg
Calculated powder XRD pattern, Cu Ka. Input: a cell relaxed with GGA-PBE.

Largest 10 diffraction maxima, low angle first, 2θ = 10–90°:
| h k l | 2θ/deg | I/Imax |
| --- | --- | --- |
| 0 0 1 | 12.3 | 26 |
| 1 0 1 | 21.0 | 100 |
| 0 1 0 | 29.2 | 79 |
| 1 0 2 | 30.2 | 77 |
| 1 1 1 | 36.2 | 60 |
| 2 0 1 | 36.5 | 53 |
| 0 0 3 | 37.6 | 33 |
| 1 1 2 | 42.5 | 65 |
| 2 1 1 | 47.4 | 49 |
| 0 1 3 | 48.3 | 30 |

Structure:
abc: 5.2474 3.0602 7.1688
angles: 90.00 90.00 90.00
Space group Pmma (No. 51)
Unique sites:
Li: 0.2500 0.0000 0.2094
Ga: 0.0000 0.5000 0.5000
Hg: 0.2500 0.5000 0.8658

No. 11
# PmGaNi5
Calculated powder XRD pattern, Cu Ka. Input: a cell relaxed with GGA-PBE.

Largest 10 diffraction maxima, low angle first, 2θ = 10–90°:
| h k l | 2θ/deg | I/Imax |
| --- | --- | --- |
| 0 1 3 | 32.4 | 13 |
| 0 2 0 | 36.9 | 19 |
| 1 0 4 | 37.6 | 28 |
| 3 1 1 | 39.8 | 100 |
| 0 2 2 | 41.2 | 16 |
| 2 2 0 | 43.6 | 17 |
| 2 2 1 | 44.5 | 16 |
| 4 0 1 | 46.7 | 44 |
| 1 2 3 | 47.6 | 22 |
| 3 3 1 | 68.4 | 18 |

Structure:
abc: 7.9424 4.8748 10.0408
angles: 90.00 90.00 90.00
Space group Pnma (No. 62)
Unique sites:
Pm: 0.2452 0.2500 0.0584
Ga: 0.1445 0.7500 0.8584
Ni: 0.0552 0.7500 0.0959
Ni: 0.0652 0.0045 0.3060
Ni: 0.0945 0.2500 0.5169
Ni: 0.1858 0.2500 0.7514

No. 12
# Cu2Pd3Au7
Calculated powder XRD pattern, Cu Ka. Input: a cell relaxed with GGA-PBE.

Largest 10 diffraction maxima, low angle first, 2θ = 10–90°:
| h k l | 2θ/deg | I/Imax |
| --- | --- | --- |
| 0 2 0 | 22.0 | 16 |
| 0 2 3 | 38.5 | 100 |
| 2 2 -1 | 38.7 | 99 |
| 2 0 2 | 44.4 | 34 |
| 0 4 0 | 44.9 | 33 |
| 2 0 -4 | 45.3 | 31 |
| 2 4 2 | 65.0 | 32 |
| 2 4 -4 | 65.7 | 21 |
| 2 2 5 | 77.7 | 13 |
| 4 2 1 | 78.0 | 13 |

Structure:
abc: 5.6999 8.0789 9.0133
angles: 90.00 107.37 90.00
Space group C2/m (No. 12)
Unique sites:
Cu: 0.1661 0.0000 0.3342
Pd: 0.0000 0.0000 0.0000
Pd: 0.1655 0.5000 0.3403
Au: 0.0000 0.2463 0.5000
Au: 0.0000 0.5000 0.0000
Au: 0.1664 0.2501 0.8276

No. 13
# TmFeCo
Calculated powder XRD pattern, Cu Ka. Input: a cell relaxed with GGA-PBE.

Largest 10 diffraction maxima, low angle first, 2θ = 10–90°:
| h k l | 2θ/deg | I/Imax |
| --- | --- | --- |
| 0 1 1 | 21.3 | 17 |
| 0 2 0 | 34.6 | 21 |
| 2 0 0 | 35.6 | 100 |
| 1 2 1 | 41.2 | 61 |
| 2 1 1 | 41.8 | 57 |
| 0 1 3 | 42.2 | 27 |
| 1 0 3 | 42.4 | 28 |
| 1 3 2 | 62.6 | 16 |
| 0 2 4 | 63.9 | 22 |
| 4 0 0 | 75.3 | 31 |

Structure:
abc: 5.0490 5.1839 7.0470
angles: 90.00 90.00 90.00
Space group Imma (No. 74)
Unique sites:
Tm: 0.0000 0.2500 0.1255
Fe: 0.2500 0.2500 0.7500
Co: 0.0000 0.0000 0.5000